The following is a calculated PXRD pattern of Ho2ZnAu. It was derived from DFT lattice parameters and positions (PBE), using λ = 1.5418 Å (Cu Kα).

Atomic structure:
```
data_Ho2ZnAu
_chemical_formula_sum 'Ho8 Zn4 Au4'
_cell_length_a 7.1508
_cell_length_b 7.1508
_cell_length_c 7.1508
_cell_angle_alpha 90.00
_cell_angle_beta 90.00
_cell_angle_gamma 90.00
_symmetry_space_group_name_H-M 'F m -3 m'
_symmetry_Int_Tables_number 225
_symmetry_space_group_name_Hall '-F 4 2 3'
loop_
_atom_site_label
_atom_site_type_symbol
_atom_site_fract_x
_atom_site_fract_y
_atom_site_fract_z
Ho1 Ho 0.2500 0.2500 0.2500
Zn1 Zn 0.0000 0.0000 0.0000
Au1 Au 0.0000 0.0000 0.5000
```

The 10 most intense peaks (2θ from 10° to 90°), by angle:
hkl 1 1 1, 21.52°, intensity 10; hkl 2 2 0, 35.51°, intensity 100; hkl 3 1 1, 41.90°, intensity 6; hkl 4 0 0, 51.09°, intensity 18; hkl 3 3 1, 56.06°, intensity 3; hkl 4 2 2, 63.76°, intensity 37; hkl 5 1 1, 68.14°, intensity 2; hkl 4 4 0, 75.16°, intensity 11; hkl 5 3 1, 79.26°, intensity 2; hkl 6 2 0, 85.98°, intensity 16